No. 1
Dy4TlAg3: simulated powder XRD pattern (λ = 1.5418 Å (Cu Kα)), based on a DFT-relaxed cell (PBE, Alexandria).

Crystal structure
a b c (Å): 5.1953 5.1953 25.5306
angles (deg): 90.00 90.00 120.00
Space group R-3m (No. 166, hexagonal axes)
Inequivalent atoms, fractional coordinates:
Dy 0.0000 0.0000 0.1213 (multiplicity 6)
Dy 0.0000 0.0000 0.3719 (multiplicity 6)
Tl 0.0000 0.0000 0.5000 (multiplicity 3)
Ag 0.0000 0.0000 0.0000 (multiplicity 3)
Ag 0.0000 0.0000 0.2484 (multiplicity 6)

The 6 most intense peaks (2θ from 15° to 90°), in order of rising 2θ:
2θ = 34.5°, rel. 100.0
2θ = 49.6°, rel. 17.7
2θ = 61.7°, rel. 8.6
2θ = 61.8°, rel. 27.3
2θ = 83.0°, rel. 7.5
2θ = 83.1°, rel. 7.9



No. 2
Dy6Tl5Ag: simulated powder XRD pattern (λ = 1.5418 Å (Cu Kα)), based on a DFT-relaxed cell (PBE, Alexandria).

Crystal structure
a b c (Å): 6.4429 11.2658 9.7658
angles (deg): 90.00 103.33 90.00
Space group C2/m (No. 12)
Inequivalent atoms, fractional coordinates:
Dy 0.2402 0.1634 0.2416 (multiplicity 8)
Dy 0.2407 0.0000 0.7439 (multiplicity 4)
Tl 0.0000 0.1767 0.5000 (multiplicity 4)
Tl 0.0000 0.3444 0.0000 (multiplicity 4)
Tl 0.0000 0.5000 0.5000 (multiplicity 2)
Ag 0.0000 0.0000 0.0000 (multiplicity 2)

The 6 most intense peaks (2θ from 15° to 90°), in order of rising 2θ:
2θ = 30.3°, rel. 100.0
2θ = 37.4°, rel. 38.1
2θ = 37.9°, rel. 36.8
2θ = 48.9°, rel. 17.8
2θ = 63.1°, rel. 28.3
2θ = 79.7°, rel. 12.4



No. 3
Dy3TmAg4: simulated powder XRD pattern (λ = 1.5418 Å (Cu Kα)), based on a DFT-relaxed cell (PBE, Alexandria).

Crystal structure
a b c (Å): 3.6222 3.6222 14.5083
angles (deg): 90.00 90.00 90.00
Space group P4/mmm (No. 123)
Inequivalent atoms, fractional coordinates:
Dy 0.0000 0.0000 0.0000 (multiplicity 1)
Dy 0.0000 0.0000 0.2519 (multiplicity 2)
Tm 0.0000 0.0000 0.5000 (multiplicity 1)
Ag 0.5000 0.5000 0.1255 (multiplicity 2)
Ag 0.5000 0.5000 0.3790 (multiplicity 2)

The 6 most intense peaks (2θ from 15° to 90°), in order of rising 2θ:
2θ = 35.0°, rel. 100.0
2θ = 50.4°, rel. 17.5
2θ = 62.8°, rel. 35.5
2θ = 74.0°, rel. 10.9
2θ = 84.5°, rel. 5.1
2θ = 84.6°, rel. 10.5



No. 4
Dy5TmAg6: simulated powder XRD pattern (λ = 1.5418 Å (Cu Kα)), based on a DFT-relaxed cell (PBE, Alexandria).

Crystal structure
a b c (Å): 5.1537 15.4608 7.1952
angles (deg): 90.00 90.00 90.00
Space group Cmmm (No. 65)
Inequivalent atoms, fractional coordinates:
Dy 0.0000 0.0000 0.0000 (multiplicity 2)
Dy 0.0000 0.3328 0.0000 (multiplicity 4)
Dy 0.0000 0.3338 0.5000 (multiplicity 4)
Tm 0.0000 0.0000 0.5000 (multiplicity 2)
Ag 0.0000 0.1655 0.2519 (multiplicity 8)
Ag 0.0000 0.5000 0.2529 (multiplicity 4)

The 6 most intense peaks (2θ from 15° to 90°), in order of rising 2θ:
2θ = 34.8°, rel. 50.9
2θ = 35.0°, rel. 100.0
2θ = 50.1°, rel. 17.9
2θ = 62.6°, rel. 36.2
2θ = 63.0°, rel. 17.7
2θ = 74.1°, rel. 11.0



No. 5
DyY5Ag4: simulated powder XRD pattern (λ = 1.5418 Å (Cu Kα)), based on a DFT-relaxed cell (PBE, Alexandria).

Crystal structure
a b c (Å): 3.6186 3.6186 19.7392
angles (deg): 90.00 90.00 90.00
Space group P4/mmm (No. 123)
Inequivalent atoms, fractional coordinates:
Dy 0.0000 0.0000 0.0000 (multiplicity 1)
Y 0.5000 0.5000 0.1258 (multiplicity 2)
Y 0.5000 0.5000 0.3124 (multiplicity 2)
Y 0.5000 0.5000 0.5000 (multiplicity 1)
Ag 0.0000 0.0000 0.2191 (multiplicity 2)
Ag 0.0000 0.0000 0.4067 (multiplicity 2)

The 6 most intense peaks (2θ from 15° to 90°), in order of rising 2θ:
2θ = 30.6°, rel. 9.1
2θ = 33.6°, rel. 100.0
2θ = 35.1°, rel. 55.8
2θ = 36.9°, rel. 11.2
2θ = 50.4°, rel. 19.3
2θ = 62.0°, rel. 33.6



No. 6
Dy2Y3Ag3: simulated powder XRD pattern (λ = 1.5418 Å (Cu Kα)), based on a DFT-relaxed cell (PBE, Alexandria).

Crystal structure
a b c (Å): 3.6766 5.2604 21.5734
angles (deg): 90.00 90.00 90.00
Space group Immm (No. 71)
Inequivalent atoms, fractional coordinates:
Dy 0.0000 0.0000 0.2312 (multiplicity 4)
Y 0.0000 0.0000 0.0000 (multiplicity 2)
Y 0.0000 0.5000 0.1203 (multiplicity 4)
Ag 0.0000 0.0000 0.5000 (multiplicity 2)
Ag 0.0000 0.5000 0.3828 (multiplicity 4)

The 6 most intense peaks (2θ from 15° to 90°), in order of rising 2θ:
2θ = 33.2°, rel. 16.0
2θ = 34.1°, rel. 100.0
2θ = 48.3°, rel. 10.9
2θ = 49.6°, rel. 8.9
2θ = 61.0°, rel. 19.3
2θ = 71.8°, rel. 8.8



No. 7
DyYZnAg: simulated powder XRD pattern (λ = 1.5418 Å (Cu Kα)), based on a DFT-relaxed cell (PBE, Alexandria).

Crystal structure
a b c (Å): 3.6049 3.6049 7.2116
angles (deg): 90.00 90.00 90.00
Space group P4mm (No. 99)
Inequivalent atoms, fractional coordinates:
Dy 0.0000 0.0000 0.0000 (multiplicity 1)
Y 0.0000 0.0000 0.5140 (multiplicity 1)
Zn 0.5000 0.5000 0.7591 (multiplicity 1)
Ag 0.5000 0.5000 0.2535 (multiplicity 1)

The 6 most intense peaks (2θ from 15° to 90°), in order of rising 2θ:
2θ = 27.7°, rel. 4.6
2θ = 35.2°, rel. 100.0
2θ = 50.6°, rel. 17.3
2θ = 63.2°, rel. 34.8
2θ = 74.4°, rel. 10.6
2θ = 85.1°, rel. 15.0



No. 8
DyZn10Ag: simulated powder XRD pattern (λ = 1.5418 Å (Cu Kα)), based on a DFT-relaxed cell (PBE, Alexandria).

Crystal structure
a b c (Å): 4.3389 5.0852 9.1494
angles (deg): 90.00 90.00 90.00
Space group Pmmm (No. 47)
Inequivalent atoms, fractional coordinates:
Dy 0.0000 0.0000 0.0000 (multiplicity 1)
Zn 0.0000 0.0000 0.3448 (multiplicity 2)
Zn 0.0000 0.5000 0.1931 (multiplicity 2)
Zn 0.5000 0.0000 0.5000 (multiplicity 1)
Zn 0.5000 0.2420 0.2393 (multiplicity 4)
Zn 0.5000 0.5000 0.0000 (multiplicity 1)
Ag 0.0000 0.5000 0.5000 (multiplicity 1)

The 6 most intense peaks (2θ from 15° to 90°), in order of rising 2θ:
2θ = 28.8°, rel. 43.0
2θ = 34.3°, rel. 25.7
2θ = 40.3°, rel. 100.0
2θ = 40.6°, rel. 30.1
2θ = 41.1°, rel. 49.2
2θ = 41.6°, rel. 47.4